The following is a computed XRD peak list of CaH16O10. It was derived from a PBE-relaxed structure, using Cu Kα.

Atomic structure:
Unit cell a=6.401 b=6.603 c=10.772 alpha=91.08 beta=93.79 gamma=92.78
Positions (direct):
Ca 0.000 0.000 0.000
Ca 0.024 0.980 0.526
H 0.037 0.626 0.383
H 0.087 0.325 0.699
H 0.128 0.735 0.217
H 0.144 0.809 0.789
H 0.229 0.411 0.884
H 0.237 0.652 0.100
H 0.262 0.388 0.602
H 0.283 0.653 0.396
H 0.297 0.168 0.197
H 0.332 0.743 0.886
H 0.346 0.272 0.396
H 0.348 0.038 0.369
H 0.370 0.895 0.701
H 0.427 0.395 0.069
H 0.433 0.739 0.599
H 0.470 0.058 0.126
H 0.554 0.053 0.903
H 0.599 0.071 0.633
H 0.624 0.480 0.424
H 0.625 0.903 0.428
H 0.626 0.309 0.627
H 0.630 0.784 0.129
H 0.693 0.637 0.904
H 0.699 0.167 0.812
H 0.705 0.928 0.258
H 0.770 0.262 0.133
H 0.849 0.646 0.640
H 0.857 0.723 0.805
H 0.887 0.337 0.344
H 0.944 0.387 0.490
H 0.948 0.435 0.128
H 0.989 0.453 0.882
O 0.085 0.341 0.868
O 0.105 0.712 0.126
O 0.121 0.310 0.610
O 0.155 0.730 0.376
O 0.253 0.870 0.851
O 0.256 0.151 0.364
O 0.347 0.150 0.112
O 0.395 0.887 0.612
O 0.443 0.560 0.920
O 0.456 0.544 0.058
O 0.471 0.489 0.440
O 0.479 0.505 0.578
O 0.677 0.924 0.154
O 0.690 0.127 0.902
O 0.702 0.186 0.655
O 0.742 0.953 0.382
O 0.843 0.687 0.897
O 0.872 0.437 0.412
O 0.919 0.295 0.156
O 0.929 0.766 0.673

Top 6 peaks for 2θ = 10–80°, by intensity:
- 2θ = 16.50°, I 100
- 2θ = 32.13°, I 76
- 2θ = 31.17°, I 74
- 2θ = 33.38°, I 63
- 2θ = 13.88°, I 61
- 2θ = 25.59°, I 44

The following is a computed XRD peak list of Na2ZnBr4. It was derived from a PBE-relaxed structure, using Cu Kα.

Atomic structure:
Unit cell a=14.774 b=8.704 c=6.865 alpha=90.00 beta=90.00 gamma=90.00
Positions (direct):
Na 0.000 0.000 0.000
Na 0.000 0.500 0.000
Na 0.230 0.250 0.492
Na 0.270 0.750 0.992
Na 0.500 0.000 0.500
Na 0.500 0.500 0.500
Na 0.730 0.250 0.008
Na 0.770 0.750 0.508
Zn 0.091 0.750 0.405
Zn 0.409 0.250 0.905
Zn 0.591 0.750 0.095
Zn 0.909 0.250 0.595
Br 0.062 0.250 0.737
Br 0.092 0.750 0.757
Br 0.166 0.527 0.257
Br 0.166 0.973 0.257
Br 0.334 0.027 0.757
Br 0.334 0.473 0.757
Br 0.408 0.250 0.257
Br 0.438 0.750 0.237
Br 0.562 0.250 0.763
Br 0.592 0.750 0.743
Br 0.666 0.527 0.243
Br 0.666 0.973 0.243
Br 0.834 0.027 0.743
Br 0.834 0.473 0.743
Br 0.908 0.250 0.243
Br 0.938 0.750 0.263

Top 6 peaks for 2θ = 10–80°, by intensity:
- 2θ = 27.10°, I 100
- 2θ = 27.42°, I 58
- 2θ = 46.49°, I 46
- 2θ = 42.17°, I 44
- 2θ = 35.45°, I 37
- 2θ = 15.73°, I 35

The following is a computed XRD peak list of Na8PtO6. It was derived from a PBE-relaxed structure, using Cu Kα.

Atomic structure:
Unit cell a=6.940 b=6.940 c=4.503 alpha=90.00 beta=90.00 gamma=90.00
Positions (direct):
Na 0.083 0.713 0.000
Na 0.215 0.340 0.528
Na 0.287 0.083 0.000
Na 0.340 0.785 0.528
Na 0.660 0.215 0.528
Na 0.713 0.917 0.000
Na 0.785 0.660 0.528
Na 0.917 0.287 0.000
Pt 0.500 0.500 0.033
O 0.000 0.000 0.672
O 0.216 0.409 0.032
O 0.409 0.784 0.032
O 0.500 0.500 0.532
O 0.591 0.216 0.032
O 0.784 0.591 0.032

Top 6 peaks for 2θ = 10–80°, by intensity:
- 2θ = 12.76°, I 100
- 2θ = 35.12°, I 49
- 2θ = 18.08°, I 39
- 2θ = 23.55°, I 33
- 2θ = 41.13°, I 32
- 2θ = 28.77°, I 28